For GdAl3Pd2, a GGA-PBE-relaxed structure gives the calculated powder diffraction line list in this record (Cu Kα (weighted mean of Kα1 and Kα2)).
Lines closer than 0.1° are merged.

Peak list (12 most intense, 2θ from 10° to 90°, in order of rising 2θ)
index	two_theta	I (rel.)
0 0 1	21.0	44.3
1 1 0	33.0	61.2
1 1 1	39.4	100.0
0 0 2	42.8	16.9
1 1 2	55.1	28.1
3 0 0	58.9	11.5
3 0 1	63.2	24.5
2 2 0	69.1	12.2
2 2 1	73.2	8.5
3 0 2	75.5	10.9
1 1 3	76.2	14.2
2 2 2	84.9	13.9

Structural model:
```
data_GdAl3Pd2
_space_group_name_H-M_alt 'P 6/m m m'
_space_group_IT_number 191
_space_group_name_Hall '-P 6 2'
_cell_length_a 5.4347
_cell_length_b 5.4347
_cell_length_c 4.2218
_cell_angle_alpha 90.00
_cell_angle_beta 90.00
_cell_angle_gamma 120.00
loop_
_atom_site_label
_atom_site_fract_x
_atom_site_fract_y
_atom_site_fract_z
Gd1 0.0000 0.0000 0.0000
Al1 0.0000 0.5000 0.5000
Pd1 0.3333 0.6667 0.0000
```

=====

For NbSe4, a GGA-PBE-relaxed structure gives the calculated powder diffraction line list in this record (Cu Kα (weighted mean of Kα1 and Kα2)).
Lines closer than 0.1° are merged.

Peak list (12 most intense, 2θ from 10° to 90°, in order of rising 2θ)
index	two_theta	I (rel.)
1 0 0	14.8	58.3
0 0 2	27.3	23.1
1 1 2	34.7	39.4
2 1 1	36.4	100.0
2 0 2	41.0	23.7
2 1 2	43.8	18.6
3 1 0	48.2	27.2
2 1 3	54.4	30.6
0 0 4	56.4	10.1
4 0 2	69.2	13.8
3 3 2	73.3	15.6
3 1 4	77.3	13.2

Structural model:
```
data_NbSe4
_space_group_name_H-M_alt 'P 4/m c c'
_space_group_IT_number 124
_space_group_name_Hall '-P 4 2c'
_cell_length_a 5.9708
_cell_length_b 5.9708
_cell_length_c 6.5262
_cell_angle_alpha 90.00
_cell_angle_beta 90.00
_cell_angle_gamma 90.00
loop_
_atom_site_label
_atom_site_fract_x
_atom_site_fract_y
_atom_site_fract_z
Nb1 0.0000 0.0000 0.2500
Se1 0.1363 0.3340 0.0000
```

=====

For Li2ZrF6, a GGA-PBE-relaxed structure gives the calculated powder diffraction line list in this record (Cu Kα (weighted mean of Kα1 and Kα2)).
Lines closer than 0.1° are merged.

Peak list (12 most intense, 2θ from 10° to 90°, in order of rising 2θ)
index	two_theta	I (rel.)
0 0 2	16.6	71.9
0 1 1	19.5	100.0
2 0 0	24.7	19.5
2 0 -2	25.4	23.3
2 1 -1	29.6	32.5
0 1 3	30.8	29.5
2 1 -3	34.7	16.7
3 1 0	41.6	14.5
2 2 -2	44.3	12.9
2 1 3	44.5	12.0
2 2 2	50.0	13.5
2 2 -4	51.2	17.0

Structural model:
```
data_Li2ZrF6
_space_group_name_H-M_alt 'P 1 21/c 1'
_space_group_IT_number 14
_cell_length_a 7.5535
_cell_length_b 5.0359
_cell_length_c 11.1527
_cell_angle_alpha 90.00
_cell_angle_beta 107.02
_cell_angle_gamma 90.00
loop_
_space_group_symop_operation_xyz
'x,y,z'
'-x,-y,-z'
'-x,y+1/2,-z+1/2'
'x,-y+1/2,z+1/2'
loop_
_atom_site_label
_atom_site_fract_x
_atom_site_fract_y
_atom_site_fract_z
Li1 0.0384 0.0263 0.1632
Li2 0.4104 0.0070 0.8068
Zr1 0.2539 0.0127 0.5010
F1 0.0477 0.7232 0.0464
F2 0.1037 0.6420 0.8272
F3 0.2453 0.1500 0.8970
F4 0.2489 0.2485 0.1493
F5 0.4000 0.7175 0.1560
F6 0.4553 0.6892 0.9296
```

=====

For PmSmHg2, a GGA-PBE-relaxed structure gives the calculated powder diffraction line list in this record (Cu Kα (weighted mean of Kα1 and Kα2)).
Lines closer than 0.1° are merged.

Peak list (10 most intense, 2θ from 10° to 90°, in order of rising 2θ)
index	two_theta	I (rel.)
2 0 0	23.4	2.5
2 2 0	33.3	100.0
2 2 2	41.0	0.9
4 0 0	47.8	18.4
4 2 0	53.8	1.2
4 2 2	59.4	38.4
4 4 0	69.8	12.0
6 0 0	74.8	0.7
6 2 0	79.6	16.9
4 4 4	89.0	4.4

Structural model:
```
data_PmSmHg2
_space_group_name_H-M_alt 'F m -3 m'
_space_group_IT_number 225
_space_group_name_Hall '-F 4 2 3'
_cell_length_a 7.6181
_cell_length_b 7.6181
_cell_length_c 7.6181
_cell_angle_alpha 90.00
_cell_angle_beta 90.00
_cell_angle_gamma 90.00
loop_
_atom_site_label
_atom_site_fract_x
_atom_site_fract_y
_atom_site_fract_z
Pm1 0.0000 0.0000 0.0000
Sm1 0.0000 0.0000 0.5000
Hg1 0.2500 0.2500 0.2500
```

=====

For Y5U2O12, a GGA-PBE-relaxed structure gives the calculated powder diffraction line list in this record (Cu Kα (weighted mean of Kα1 and Kα2)).
Lines closer than 0.1° are merged.

Peak list (12 most intense, 2θ from 10° to 90°, in order of rising 2θ)
index	two_theta	I (rel.)
1 0 -1	13.9	20.0
0 1 -4	21.4	21.2
1 1 -5	28.4	46.4
0 1 5	28.7	100.0
2 0 1	28.8	48.9
-2 1 4	33.2	20.7
1 2 0	33.2	39.9
1 0 -10	47.3	14.2
0 3 -6	47.4	16.1
3 1 -4	47.6	15.2
-1 3 4	47.7	15.7
2 1 6	47.9	30.6

Structural model:
```
data_Y5U2O12
_space_group_name_H-M_alt 'P 1'
_space_group_IT_number 1
_cell_length_a 6.5800
_cell_length_b 6.6185
_cell_length_c 19.5724
_cell_angle_alpha 96.80
_cell_angle_beta 97.09
_cell_angle_gamma 99.39
loop_
_space_group_symop_operation_xyz
'x,y,z'
loop_
_atom_site_label
_atom_site_fract_x
_atom_site_fract_y
_atom_site_fract_z
Y1 0.0000 0.0000 0.0000
Y2 0.0017 0.4571 0.9181
Y3 0.1173 0.4590 0.7384
Y4 0.1194 0.9839 0.8235
Y5 0.1865 0.8847 0.6399
Y6 0.3335 0.7929 0.2509
Y7 0.3398 0.3318 0.3334
Y8 0.4555 0.3275 0.1580
Y9 0.5231 0.2217 0.9723
Y10 0.6685 0.1266 0.5840
Y11 0.6730 0.6651 0.6662
Y12 0.7844 0.1263 0.4051
Y13 0.7867 0.6512 0.4898
Y14 0.8543 0.5511 0.3064
Y15 0.9324 0.5620 0.0994
U1 0.2282 0.3887 0.5373
U2 0.2634 0.8917 0.4331
U3 0.4529 0.7878 0.0711
U4 0.5605 0.7209 0.8695
U5 0.5966 0.2247 0.7662
U6 0.8964 0.0585 0.2032
O1 0.0039 0.7630 0.7262
O2 0.1267 0.6921 0.0126
O3 0.1467 0.6818 0.5104
O4 0.1882 0.1984 0.9292
O5 0.2018 0.2315 0.4324
O6 0.2128 0.6291 0.3448
O7 0.2264 0.6303 0.8508
O8 0.2281 0.1543 0.2209
O9 0.2545 0.5525 0.6409
O10 0.2569 0.1638 0.7322
O11 0.2661 0.5897 0.1429
O12 0.3098 0.0963 0.5607
O13 0.3408 0.0840 0.0618
O14 0.4485 0.0238 0.3470
O15 0.4793 0.0159 0.8442
O16 0.5222 0.5340 0.2623
O17 0.5343 0.5627 0.7645
O18 0.5459 0.9623 0.6779
O19 0.5592 0.4851 0.5548
O20 0.5622 0.9615 0.1849
O21 0.5673 0.4977 0.0631
O22 0.5880 0.9124 0.4742
O23 0.5890 0.8878 0.9753
O24 0.6424 0.4291 0.8931
O25 0.6719 0.4293 0.3928
O26 0.7830 0.3560 0.6799
O27 0.8130 0.3474 0.1773
O28 0.8548 0.8676 0.5944
O29 0.8595 0.8945 0.0975
O30 0.8755 0.2958 0.0096
O31 0.8918 0.8191 0.8890
O32 0.8932 0.2973 0.5178
O33 0.9221 0.2454 0.8081
O34 0.9235 0.2185 0.3077
O35 0.9244 0.8315 0.3992
O36 0.9750 0.7706 0.2291
```